This entry pairs a crystal structure of Rb3V2Br9 with its simulated PXRD pattern. Radiation: λ = 1.5418 Å (Cu Kα). Structure: a structure optimized by DFT (PBE).

Atomic structure:
```
Rb3V2Br9
1.0
7.5777 0.0000 0.0000
-3.7888 6.5625 0.0000
0.0000 0.0000 19.0602
Rb V Br
6 4 18
Direct
0.0000 0.0000 0.2500 Rb
0.0000 0.0000 0.7500 Rb
0.3333 0.6667 0.0632 Rb
0.3333 0.6667 0.4368 Rb
0.6667 0.3333 0.5632 Rb
0.6667 0.3333 0.9368 Rb
0.3333 0.6667 0.6656 V
0.3333 0.6667 0.8344 V
0.6667 0.3333 0.1656 V
0.6667 0.3333 0.3344 V
0.0205 0.5103 0.7500 Br
0.1744 0.3488 0.5933 Br
0.1744 0.3488 0.9067 Br
0.1744 0.8256 0.5933 Br
0.1744 0.8256 0.9067 Br
0.3488 0.1744 0.0933 Br
0.3488 0.1744 0.4067 Br
0.4897 0.5103 0.7500 Br
0.4897 0.9795 0.7500 Br
0.5103 0.0205 0.2500 Br
0.5103 0.4897 0.2500 Br
0.6512 0.8256 0.5933 Br
0.6512 0.8256 0.9067 Br
0.8256 0.1744 0.0933 Br
0.8256 0.1744 0.4067 Br
0.8256 0.6512 0.0933 Br
0.8256 0.6512 0.4067 Br
0.9795 0.4897 0.2500 Br
```

Largest 10 diffraction maxima, in order of falling intensity, 10° ≤ 2θ ≤ 90°:
- d 2.915, 30.67°, rel. 100
- d 3.102, 28.78°, rel. 82
- d 2.702, 33.15°, rel. 74
- d 1.894, 48.03°, rel. 52
- d 3.177, 28.09°, rel. 46
- d 6.205, 14.27°, rel. 35
- d 1.627, 56.56°, rel. 35
- d 1.217, 78.60°, rel. 25
- d 1.588, 58.07°, rel. 20
- d 3.234, 27.58°, rel. 20

***

This entry pairs a crystal structure of Rb2V3Br9 with its simulated PXRD pattern. Radiation: λ = 1.5418 Å (Cu Kα). Structure: a structure optimized by DFT (PBE).

Atomic structure:
```
Rb2V3Br9
1.0
5.6952 -9.1694 0.0000
5.6952 9.1694 0.0000
-4.5942 0.0000 9.4385
Rb V Br
4 6 18
Direct
0.0737 0.7479 0.7023 Rb
0.2521 0.9263 0.2977 Rb
0.7479 0.0737 0.7023 Rb
0.9263 0.2521 0.2977 Rb
0.2367 0.4450 0.8271 V
0.3611 0.3611 0.1560 V
0.4450 0.2367 0.8271 V
0.5550 0.7633 0.1729 V
0.6389 0.6389 0.8440 V
0.7633 0.5550 0.1729 V
0.0088 0.6085 0.3373 Br
0.1200 0.3187 0.9839 Br
0.1986 0.1986 0.6789 Br
0.2322 0.2322 0.2965 Br
0.3015 0.6985 0.0000 Br
0.3187 0.1200 0.9839 Br
0.3836 0.5801 0.6965 Br
0.3915 0.9912 0.6627 Br
0.4199 0.6164 0.3035 Br
0.5801 0.3836 0.6965 Br
0.6085 0.0088 0.3373 Br
0.6164 0.4199 0.3035 Br
0.6813 0.8800 0.0161 Br
0.6985 0.3015 0.0000 Br
0.7678 0.7678 0.7035 Br
0.8014 0.8014 0.3211 Br
0.8800 0.6813 0.0161 Br
0.9912 0.3915 0.6627 Br
```

Largest 10 diffraction maxima, in order of falling intensity, 10° ≤ 2θ ≤ 90°:
- d 2.948, 30.32°, rel. 100
- d 2.609, 34.37°, rel. 86
- d 3.146, 28.37°, rel. 86
- d 3.255, 27.40°, rel. 70
- d 5.104, 17.37°, rel. 60
- d 3.039, 29.39°, rel. 60
- d 4.719, 18.80°, rel. 48
- d 1.935, 46.95°, rel. 45
- d 2.311, 38.98°, rel. 43
- d 1.904, 47.76°, rel. 38

***

This entry pairs a crystal structure of Rb3VBr6 with its simulated PXRD pattern. Radiation: λ = 1.5418 Å (Cu Kα). Structure: a structure optimized by DFT (PBE).

Atomic structure:
```
Rb3VBr6
1.0
0.0000 5.9528 6.9477
4.8691 0.0000 6.9477
4.8691 5.9528 0.0000
Rb V Br
3 1 6
Direct
0.0000 0.0000 0.0000 Rb
0.2500 0.2500 0.2500 Rb
0.7500 0.7500 0.7500 Rb
0.5000 0.5000 0.5000 V
0.1835 0.5573 0.8165 Br
0.2830 0.7170 0.2830 Br
0.4427 0.8165 0.5573 Br
0.5573 0.1835 0.4427 Br
0.7170 0.2830 0.7170 Br
0.8165 0.4427 0.1835 Br
```

Largest 10 diffraction maxima, in order of falling intensity, 10° ≤ 2θ ≤ 90°:
- d 3.987, 22.30°, rel. 100
- d 2.976, 30.02°, rel. 55
- d 3.000, 29.78°, rel. 53
- d 2.385, 37.71°, rel. 39
- d 2.554, 35.13°, rel. 39
- d 2.473, 36.34°, rel. 27
- d 2.828, 31.64°, rel. 22
- d 6.626, 13.36°, rel. 21
- d 3.055, 29.23°, rel. 19
- d 2.879, 31.06°, rel. 19

***

This entry pairs a crystal structure of Rb3V2Br9 with its simulated PXRD pattern. Radiation: λ = 1.5418 Å (Cu Kα). Structure: a structure optimized by DFT (PBE).

Atomic structure:
```
Rb3V2Br9
1.0
6.4482 3.7228 6.6324
-6.4482 3.7228 6.6324
0.0000 -7.4457 6.6324
Rb V Br
6 4 18
Direct
0.0923 0.7500 0.4077 Rb
0.2500 0.5923 0.9077 Rb
0.4077 0.0923 0.7500 Rb
0.5923 0.9077 0.2500 Rb
0.7500 0.4077 0.0923 Rb
0.9077 0.2500 0.5923 Rb
0.1693 0.1693 0.1693 V
0.3307 0.3307 0.3307 V
0.6693 0.6693 0.6693 V
0.8307 0.8307 0.8307 V
0.0617 0.9001 0.7345 Br
0.0917 0.4083 0.2500 Br
0.0999 0.2655 0.9383 Br
0.2345 0.4001 0.5617 Br
0.2500 0.0917 0.4083 Br
0.2655 0.9383 0.0999 Br
0.4001 0.5617 0.2345 Br
0.4083 0.2500 0.0917 Br
0.4383 0.7655 0.5999 Br
0.5617 0.2345 0.4001 Br
0.5917 0.7500 0.9083 Br
0.5999 0.4383 0.7655 Br
0.7345 0.0617 0.9001 Br
0.7500 0.9083 0.5917 Br
0.7655 0.5999 0.4383 Br
0.9001 0.7345 0.0617 Br
0.9083 0.5917 0.7500 Br
0.9383 0.0999 0.2655 Br
```

Largest 10 diffraction maxima, in order of falling intensity, 10° ≤ 2θ ≤ 90°:
- d 2.899, 30.84°, rel. 100
- d 1.861, 48.93°, rel. 21
- d 2.312, 38.96°, rel. 21
- d 3.316, 26.89°, rel. 21
- d 1.823, 50.02°, rel. 15
- d 3.224, 27.67°, rel. 14
- d 1.623, 56.71°, rel. 14
- d 1.566, 58.96°, rel. 14
- d 1.199, 80.06°, rel. 12
- d 7.429, 11.91°, rel. 10

***

This entry pairs a crystal structure of RbVBr3 with its simulated PXRD pattern. Radiation: λ = 1.5418 Å (Cu Kα). Structure: a structure optimized by DFT (PBE).

Atomic structure:
```
RbVBr3
1.0
13.0006 0.0000 0.0000
-6.5003 11.2588 0.0000
0.0000 0.0000 6.6037
Rb V Br
6 6 18
Direct
0.0000 0.3356 0.0000 Rb
0.0000 0.6644 0.5000 Rb
0.3356 0.0000 0.0000 Rb
0.3356 0.3356 0.5000 Rb
0.6644 0.0000 0.5000 Rb
0.6644 0.6644 0.0000 Rb
0.0000 0.0000 0.1661 V
0.0000 0.0000 0.6661 V
0.3333 0.6667 0.3052 V
0.3333 0.6667 0.8052 V
0.6667 0.3333 0.3052 V
0.6667 0.3333 0.8052 V
0.0000 0.1592 0.4149 Br
0.0000 0.8408 0.9149 Br
0.1592 0.0000 0.4149 Br
0.1592 0.1592 0.9149 Br
0.1744 0.5067 0.5560 Br
0.1744 0.6676 0.0560 Br
0.3324 0.5067 0.0560 Br
0.3324 0.8256 0.5560 Br
0.4933 0.6676 0.5560 Br
0.4933 0.8256 0.0560 Br
0.5067 0.1744 0.5560 Br
0.5067 0.3324 0.0560 Br
0.6676 0.1744 0.0560 Br
0.6676 0.4933 0.5560 Br
0.8256 0.3324 0.5560 Br
0.8256 0.4933 0.0560 Br
0.8408 0.0000 0.9149 Br
0.8408 0.8408 0.4149 Br
```

Largest 10 diffraction maxima, in order of falling intensity, 10° ≤ 2θ ≤ 90°:
- d 2.916, 30.66°, rel. 100
- d 1.876, 48.51°, rel. 26
- d 6.500, 13.62°, rel. 20
- d 2.316, 38.88°, rel. 18
- d 1.632, 56.38°, rel. 16
- d 3.302, 27.00°, rel. 15
- d 1.578, 58.49°, rel. 15
- d 3.250, 27.44°, rel. 12
- d 1.208, 79.33°, rel. 12
- d 2.609, 34.38°, rel. 8

***

This entry pairs a crystal structure of Rb2VZnBr6 with its simulated PXRD pattern. Radiation: λ = 1.5418 Å (Cu Kα). Structure: a structure optimized by DFT (PBE).

Atomic structure:
```
Rb2VZnBr6
1.0
0.0000 5.3197 5.3197
5.3197 0.0000 5.3197
5.3197 5.3197 0.0000
Rb V Zn Br
2 1 1 6
Direct
0.2500 0.2500 0.2500 Rb
0.7500 0.7500 0.7500 Rb
0.0000 0.0000 0.0000 V
0.5000 0.5000 0.5000 Zn
0.2500 0.2500 0.7500 Br
0.2500 0.7500 0.2500 Br
0.2500 0.7500 0.7500 Br
0.7500 0.2500 0.2500 Br
0.7500 0.2500 0.7500 Br
0.7500 0.7500 0.2500 Br
```

Largest 10 diffraction maxima, in order of falling intensity, 10° ≤ 2θ ≤ 90°:
- d 2.660, 33.70°, rel. 100
- d 3.071, 29.07°, rel. 95
- d 1.881, 48.40°, rel. 70
- d 1.604, 57.45°, rel. 40
- d 1.190, 80.80°, rel. 31
- d 1.536, 60.27°, rel. 24
- d 1.220, 78.35°, rel. 17
- d 3.762, 23.65°, rel. 14
- d 5.320, 16.67°, rel. 13
- d 1.330, 70.85°, rel. 11

***

This entry pairs a crystal structure of RbVZn2Br8 with its simulated PXRD pattern. Radiation: λ = 1.5418 Å (Cu Kα). Structure: a structure optimized by DFT (PBE).

Atomic structure:
```
RbVZn2Br8
1.0
3.2528 1.8780 11.1233
-3.2528 1.8780 11.1233
0.0000 -3.7560 11.1233
Rb V Zn Br
1 1 2 8
Direct
0.0000 0.0000 0.0000 Rb
0.5000 0.5000 0.5000 V
0.2380 0.2380 0.2380 Zn
0.7620 0.7620 0.7620 Zn
0.1556 0.4278 0.7645 Br
0.2355 0.5722 0.8444 Br
0.3094 0.3094 0.3094 Br
0.4278 0.7645 0.1556 Br
0.5722 0.8444 0.2355 Br
0.6906 0.6906 0.6906 Br
0.7645 0.1556 0.4278 Br
0.8444 0.2355 0.5722 Br
```

Largest 10 diffraction maxima, in order of falling intensity, 10° ≤ 2θ ≤ 90°:
- d 3.122, 28.59°, rel. 100
- d 3.253, 27.42°, rel. 85
- d 3.708, 24.00°, rel. 76
- d 4.669, 19.01°, rel. 75
- d 2.113, 42.79°, rel. 66
- d 1.878, 48.47°, rel. 61
- d 2.445, 36.76°, rel. 58
- d 1.675, 54.79°, rel. 40
- d 2.669, 33.57°, rel. 31
- d 1.610, 57.21°, rel. 30

***

This entry pairs a crystal structure of Rb2WBr7 with its simulated PXRD pattern. Radiation: λ = 1.5418 Å (Cu Kα). Structure: a structure optimized by DFT (PBE).

Atomic structure:
```
Rb2WBr7
1.0
8.9069 -4.1554 0.0000
8.9069 4.1554 0.0000
-8.0636 0.0000 9.9308
Rb W Br
4 2 14
Direct
0.0368 0.7055 0.9599 Rb
0.2945 0.9632 0.5401 Rb
0.7055 0.0368 0.4599 Rb
0.9632 0.2945 0.0401 Rb
0.2827 0.7173 0.7500 W
0.7173 0.2827 0.2500 W
0.0752 0.1113 0.2606 Br
0.1113 0.0752 0.7606 Br
0.1970 0.6317 0.5020 Br
0.2142 0.4585 0.6934 Br
0.3683 0.8030 0.9980 Br
0.3996 0.6004 0.2500 Br
0.4585 0.2142 0.1934 Br
0.5415 0.7858 0.8066 Br
0.6004 0.3996 0.7500 Br
0.6317 0.1970 0.0020 Br
0.7858 0.5415 0.3066 Br
0.8030 0.3683 0.4980 Br
0.8887 0.9248 0.2394 Br
0.9248 0.8887 0.7394 Br
```

Largest 10 diffraction maxima, in order of falling intensity, 10° ≤ 2θ ≤ 90°:
- d 6.936, 12.76°, rel. 100
- d 3.020, 29.58°, rel. 42
- d 3.033, 29.45°, rel. 21
- d 2.381, 37.78°, rel. 21
- d 6.356, 13.93°, rel. 21
- d 5.062, 17.52°, rel. 20
- d 2.483, 36.18°, rel. 18
- d 2.500, 35.92°, rel. 18
- d 2.518, 35.66°, rel. 16
- d 3.052, 29.26°, rel. 16

***

This entry pairs a crystal structure of RbWBr5 with its simulated PXRD pattern. Radiation: λ = 1.5418 Å (Cu Kα). Structure: a structure optimized by DFT (PBE).

Atomic structure:
```
RbWBr5
1.0
7.3711 -3.9650 0.0000
7.3711 3.9650 0.0000
-3.5623 0.0000 9.4411
Rb W Br
2 2 10
Direct
0.0187 0.9813 0.7500 Rb
0.9813 0.0187 0.2500 Rb
0.5000 0.5000 0.0000 W
0.5000 0.5000 0.5000 W
0.1477 0.5960 0.4675 Br
0.1506 0.5857 0.8977 Br
0.4040 0.8523 0.0325 Br
0.4115 0.5885 0.2500 Br
0.4143 0.8494 0.6023 Br
0.5857 0.1506 0.3977 Br
0.5885 0.4115 0.7500 Br
0.5960 0.1477 0.9675 Br
0.8494 0.4143 0.1023 Br
0.8523 0.4040 0.5325 Br
```

Largest 10 diffraction maxima, in order of falling intensity, 10° ≤ 2θ ≤ 90°:
- d 6.887, 12.85°, rel. 100
- d 2.602, 34.47°, rel. 37
- d 4.257, 20.87°, rel. 22
- d 3.437, 25.92°, rel. 21
- d 2.523, 35.59°, rel. 14
- d 4.756, 18.66°, rel. 11
- d 4.721, 18.80°, rel. 10
- d 1.942, 46.79°, rel. 9
- d 1.819, 50.14°, rel. 9
- d 3.638, 24.47°, rel. 9

***

This entry pairs a crystal structure of Rb3Y2Br9 with its simulated PXRD pattern. Radiation: λ = 1.5418 Å (Cu Kα). Structure: a structure optimized by DFT (PBE).

Atomic structure:
```
Rb3Y2Br9
1.0
6.8571 3.9589 6.5490
-6.8571 3.9589 6.5490
0.0000 -7.9178 6.5490
Rb Y Br
6 4 18
Direct
0.0809 0.7500 0.4191 Rb
0.2500 0.5809 0.9191 Rb
0.4191 0.0809 0.7500 Rb
0.5809 0.9191 0.2500 Rb
0.7500 0.4191 0.0809 Rb
0.9191 0.2500 0.5809 Rb
0.1503 0.1503 0.1503 Y
0.3497 0.3497 0.3497 Y
0.6503 0.6503 0.6503 Y
0.8497 0.8497 0.8497 Y
0.0774 0.2701 0.9163 Br
0.0837 0.9226 0.7299 Br
0.0926 0.4074 0.2500 Br
0.2299 0.4226 0.5837 Br
0.2500 0.0926 0.4074 Br
0.2701 0.9163 0.0774 Br
0.4074 0.2500 0.0926 Br
0.4163 0.7701 0.5774 Br
0.4226 0.5837 0.2299 Br
0.5774 0.4163 0.7701 Br
0.5837 0.2299 0.4226 Br
0.5926 0.7500 0.9074 Br
0.7299 0.0837 0.9226 Br
0.7500 0.9074 0.5926 Br
0.7701 0.5774 0.4163 Br
0.9074 0.5926 0.7500 Br
0.9163 0.0774 0.2701 Br
0.9226 0.7299 0.0837 Br
```

Largest 10 diffraction maxima, in order of falling intensity, 10° ≤ 2θ ≤ 90°:
- d 3.037, 29.41°, rel. 100
- d 2.368, 38.00°, rel. 28
- d 1.979, 45.84°, rel. 25
- d 1.841, 49.50°, rel. 22
- d 3.274, 27.23°, rel. 20
- d 1.694, 54.14°, rel. 15
- d 1.658, 55.40°, rel. 14
- d 6.857, 12.91°, rel. 12
- d 1.271, 74.67°, rel. 11
- d 3.429, 25.99°, rel. 9